Simulated powder XRD pattern of Ag8Pt2Au3 for Cu Ka, from a PBE-relaxed structure.
Peak positions follow from Bragg's law for the DFT cell and can differ from measured ones.

Crystal structure
```
data_Ag8Pt2Au3
_space_group_name_H-M_alt 'R -3 m'
_space_group_IT_number 166
_space_group_name_Hall '-R 3 2"'
_cell_length_a 5.3228
_cell_length_b 5.3228
_cell_length_c 30.3517
_cell_angle_alpha 90.00
_cell_angle_beta 90.00
_cell_angle_gamma 120.00
loop_
_atom_site_label
_atom_site_type_symbol
_atom_site_fract_x
_atom_site_fract_y
_atom_site_fract_z
_atom_site_occupancy
Ag1 Ag 0.0000 0.0000 0.2258 1
Ag2 Ag 0.0008 0.5004 0.2698 1
Pt1 Pt 0.0000 0.0000 0.1394 1
Au1 Au 0.0000 0.0000 0.3176 1
Au2 Au 0.0000 0.0000 0.5000 1
```

Largest 10 diffraction maxima, by intensity, 15 to 90 degrees two-theta:
d 2.368, 38.01 deg, I 100, (0 1 11); d 2.661, 33.68 deg, I 66, (1 1 0); d 2.355, 38.21 deg, I 56, (1 1 6); d 1.473, 63.11 deg, I 45, (1 2 11); d 2.279, 39.55 deg, I 45, (2 0 2); d 2.155, 41.93 deg, I 31, (2 0 5); d 1.331, 70.81 deg, I 28, (2 2 0); d 3.671, 24.24 deg, I 21, (0 1 5); d 1.160, 83.30 deg, I 21, (3 1 11); d 1.184, 81.27 deg, I 17, (0 2 22)